Diffraction record for AcTb8Tm3. The X-ray diffraction stick pattern is theoretical, not measured: it uses a DFT-relaxed cell (PBE, Alexandria) and Cu Kα.

Main lines, low angle first (2θ from 10° to 90°):
- d 5.587, 2θ = 15.86°, intensity 19
- d 4.001, 2θ = 22.22°, intensity 21
- d 2.866, 2θ = 31.21°, intensity 50
- d 2.856, 2θ = 31.32°, intensity 100
- d 2.791, 2θ = 32.07°, intensity 60
- d 2.511, 2θ = 35.75°, intensity 40
- d 2.001, 2θ = 45.33°, intensity 17
- d 1.771, 2θ = 51.60°, intensity 22
- d 1.647, 2θ = 55.81°, intensity 17
- d 1.428, 2θ = 65.34°, intensity 20

Structure:
Lattice parameters (Å, degrees): 8.7370 8.7370 8.7370 137.13 98.00 97.35
Fractional positions:
Ac  0.0000  0.0000  0.0000
Tb  0.0815  0.8281  0.2534
Tb  0.2699  0.0309  0.7610
Tb  0.2699  0.5089  0.2390
Tb  0.4253  0.1719  0.2534
Tb  0.5747  0.8281  0.7466
Tb  0.7301  0.4911  0.7610
Tb  0.7301  0.9691  0.2390
Tb  0.9185  0.1719  0.7466
Tm  0.2739  0.5000  0.7739
Tm  0.5000  0.0000  0.5000
Tm  0.7261  0.5000  0.2261


Diffraction record for Ac6Tb2Tm. The X-ray diffraction stick pattern is theoretical, not measured: it uses a DFT-relaxed cell (PBE, Alexandria) and Cu Kα.

Main lines, low angle first (2θ from 10° to 90°):
- d 3.237, 2θ = 27.56°, intensity 65
- d 3.226, 2θ = 27.65°, intensity 51
- d 3.182, 2θ = 28.04°, intensity 92
- d 3.159, 2θ = 28.25°, intensity 61
- d 3.034, 2θ = 29.44°, intensity 100
- d 2.903, 2θ = 30.80°, intensity 36
- d 2.869, 2θ = 31.18°, intensity 32
- d 2.693, 2θ = 33.26°, intensity 40
- d 2.634, 2θ = 34.03°, intensity 30
- d 2.012, 2θ = 45.07°, intensity 18

Structure:
Lattice parameters (Å, degrees): 6.6494 10.1349 12.7356 90.00 121.43 90.00
Fractional positions:
Ac  0.0575  0.1168  0.2062
Ac  0.0575  0.3832  0.7062
Ac  0.2940  0.7139  0.6460
Ac  0.2940  0.7861  0.1460
Ac  0.3699  0.1556  0.0191
Ac  0.3699  0.3444  0.5191
Ac  0.6301  0.6556  0.4809
Ac  0.6301  0.8444  0.9809
Ac  0.7060  0.2139  0.8540
Ac  0.7060  0.2861  0.3540
Ac  0.9425  0.6168  0.2938
Ac  0.9425  0.8832  0.7938
Tb  0.1533  0.0672  0.6373
Tb  0.1533  0.4328  0.1373
Tb  0.8466  0.5672  0.8627
Tb  0.8466  0.9328  0.3627
Tm  0.5000  0.0000  0.5000
Tm  0.5000  0.5000  0.0000


Diffraction record for Ac2Tb5Tm. The X-ray diffraction stick pattern is theoretical, not measured: it uses a DFT-relaxed cell (PBE, Alexandria) and Cu Kα.

Main lines, low angle first (2θ from 10° to 90°):
- d 2.995, 2θ = 29.83°, intensity 100
- d 2.974, 2θ = 30.05°, intensity 97
- d 2.606, 2θ = 34.41°, intensity 68
- d 2.543, 2θ = 35.30°, intensity 32
- d 1.820, 2θ = 50.13°, intensity 48
- d 1.572, 2θ = 58.72°, intensity 30
- d 1.563, 2θ = 59.09°, intensity 28
- d 1.541, 2θ = 60.02°, intensity 14
- d 1.539, 2θ = 60.14°, intensity 14
- d 1.160, 2θ = 83.31°, intensity 16

Structure:
Lattice parameters (Å, degrees): 8.9223 8.2144 6.2921 74.59 62.57 42.83
Fractional positions:
Ac  0.2493  0.2493  0.7507
Ac  0.7507  0.7507  0.2493
Tb  0.1185  0.1185  0.3815
Tb  0.3815  0.3815  0.1185
Tb  0.5000  0.5000  0.5000
Tb  0.6185  0.6185  0.8815
Tb  0.8815  0.8815  0.6185
Tm  0.0000  0.0000  0.0000


Diffraction record for AcTb4Tm6. The X-ray diffraction stick pattern is theoretical, not measured: it uses a DFT-relaxed cell (PBE, Alexandria) and Cu Kα.

Main lines, low angle first (2θ from 10° to 90°):
- d 2.927, 2θ = 30.55°, intensity 100
- d 2.847, 2θ = 31.42°, intensity 52
- d 2.826, 2θ = 31.66°, intensity 100
- d 2.677, 2θ = 33.48°, intensity 28
- d 2.039, 2θ = 44.43°, intensity 26
- d 1.659, 2θ = 55.37°, intensity 12
- d 1.648, 2θ = 55.78°, intensity 14
- d 1.640, 2θ = 56.09°, intensity 20
- d 1.532, 2θ = 60.43°, intensity 14
- d 1.413, 2θ = 66.13°, intensity 12

Structure:
Lattice parameters (Å, degrees): 5.6522 5.6522 25.5243 90.00 90.00 119.51
Fractional positions:
Ac  0.1737  0.8263  0.7500
Ac  0.8263  0.1737  0.2500
Tb  0.1645  0.8355  0.0416
Tb  0.1645  0.8355  0.4584
Tb  0.4924  0.5076  0.1224
Tb  0.4924  0.5076  0.3776
Tb  0.5076  0.4924  0.6224
Tb  0.5076  0.4924  0.8776
Tb  0.8355  0.1645  0.5416
Tb  0.8355  0.1645  0.9584
Tm  0.1595  0.8405  0.1797
Tm  0.1595  0.8405  0.3203
Tm  0.1723  0.8277  0.5995
Tm  0.1723  0.8277  0.9005
Tm  0.4919  0.5081  0.2500
Tm  0.5000  0.5000  0.0000
Tm  0.5000  0.5000  0.5000
Tm  0.5081  0.4919  0.7500
Tm  0.8277  0.1723  0.0995
Tm  0.8277  0.1723  0.4005
Tm  0.8405  0.1595  0.6797
Tm  0.8405  0.1595  0.8203


Diffraction record for Ac2Tb5Tm4. The X-ray diffraction stick pattern is theoretical, not measured: it uses a DFT-relaxed cell (PBE, Alexandria) and Cu Kα.

Main lines, low angle first (2θ from 10° to 90°):
- d 2.952, 2θ = 30.28°, intensity 100
- d 2.941, 2θ = 30.39°, intensity 33
- d 2.554, 2θ = 35.14°, intensity 68
- d 1.808, 2θ = 50.49°, intensity 32
- d 1.804, 2θ = 50.59°, intensity 8
- d 1.542, 2θ = 60.00°, intensity 29
- d 1.540, 2θ = 60.10°, intensity 14
- d 1.537, 2θ = 60.22°, intensity 14
- d 1.477, 2θ = 62.94°, intensity 8
- d 1.173, 2θ = 82.21°, intensity 10

Structure:
Lattice parameters (Å, degrees): 6.2379 8.0807 8.0882 107.42 105.01 97.24
Fractional positions:
Ac  0.1406  0.2323  0.0477
Ac  0.8594  0.7677  0.9523
Tb  0.2282  0.0463  0.4152
Tb  0.4114  0.6854  0.1421
Tb  0.5000  0.5000  0.5000
Tb  0.5886  0.3146  0.8579
Tb  0.7718  0.9537  0.5848
Tm  0.0486  0.4082  0.6743
Tm  0.3175  0.8625  0.7660
Tm  0.6825  0.1375  0.2340
Tm  0.9514  0.5918  0.3257


Diffraction record for AcTb7Tm2. The X-ray diffraction stick pattern is theoretical, not measured: it uses a DFT-relaxed cell (PBE, Alexandria) and Cu Kα.

Main lines, low angle first (2θ from 10° to 90°):
- d 2.934, 2θ = 30.47°, intensity 90
- d 2.875, 2θ = 31.11°, intensity 100
- d 2.736, 2θ = 32.73°, intensity 46
- d 2.718, 2θ = 32.95°, intensity 47
- d 1.928, 2θ = 47.13°, intensity 35
- d 1.615, 2θ = 57.01°, intensity 16
- d 1.605, 2θ = 57.40°, intensity 18
- d 1.588, 2θ = 58.08°, intensity 21
- d 1.511, 2θ = 61.37°, intensity 29
- d 1.191, 2θ = 80.69°, intensity 16

Structure:
Lattice parameters (Å, degrees): 9.5632 9.5632 9.5632 146.75 136.41 55.91
Fractional positions:
Ac  0.0000  0.0000  0.0000
Tb  0.1430  0.3880  0.7550
Tb  0.2033  0.2033  0.0000
Tb  0.3669  0.6120  0.7550
Tb  0.5000  0.0000  0.5000
Tb  0.6331  0.3880  0.2450
Tb  0.7967  0.7967  0.0000
Tb  0.8570  0.6120  0.2450
Tm  0.3008  0.8008  0.5000
Tm  0.6992  0.1992  0.5000